Computed PXRD pattern of Sn2Ge2S5 for a wavelength of 1.5418 Å, from a structure optimized by DFT (PBE).
No peak broadening, texture or thermal motion is included.

Main lines, low angle first (10 to 90 degrees two-theta):
Position (°2θ)	d [Å]	I/Imax
13.1	6.778	22
24.1	3.696	100
26.3	3.389	44
28.0	3.186	42
31.2	2.864	47
32.8	2.727	63
37.0	2.428	22
42.6	2.124	45
45.9	1.975	32
49.3	1.850	33

Crystal structure
```
Sn2Ge2S5
1.0
6.8897 -2.7275 0.0000
6.8897 2.7275 0.0000
-1.0598 0.0000 5.8133
Sn Ge S
2 2 5
Direct
0.1242 0.1242 0.3749
0.8758 0.8758 0.6251
0.3398 0.3398 0.0988
0.6602 0.6602 0.9012
0.1695 0.1695 0.9338
0.3230 0.3230 0.4844
0.5000 0.5000 0.0000
0.6770 0.6770 0.5156
0.8305 0.8305 0.0662
```